[1]
For K4LiF6, a GGA-PBE-relaxed structure gives the simulated powder XRD pattern in this record (Cu Kα).

Principal peaks in the range 5° ≤ 2θ ≤ 70°, sorted by position:
two_theta, Rel. int.
19.75, 50
24.74, 100
25.82, 36
27.95, 28
28.44, 55
39.89, 28
40.30, 28
42.51, 28

Structural model:
```
22
Lattice="6.6810 -3.1924 0.0000 6.6810 3.1924 0.0000 -6.5540 0.0000 10.7321" Properties=species:S:1:pos:R:3 pbc="T T T"
K 3.4040 3.1009 5.3660
K -2.3948 0.2140 9.2725
K 0.8822 -0.2140 3.9065
K 1.0332 0.7777 7.5679
K 4.3102 -0.7777 2.2019
K 5.4506 0.2378 5.9581
K 8.7275 -0.2378 0.5921
K 6.6810 -3.1009 0.0000
Li 4.1009 0.2290 8.8415
Li 7.3779 -0.2290 3.4755
F 2.5262 0.3335 0.6583
F -0.7508 -0.3335 6.0244
F 0.0412 0.7284 10.1237
F 3.6233 1.5149 7.5483
F 5.9301 0.9616 3.4308
F 3.3182 -0.7284 4.7577
F 4.3771 1.0026 10.5413
F 8.9934 0.6920 3.0283
F 2.6531 -0.9616 8.7969
F 6.9003 -1.5149 2.1823
F 5.7164 -0.6920 8.3944
F 7.6541 -1.0026 5.1752
```

---

[2]
For In6Ag5, a GGA-PBE-relaxed structure gives the simulated powder XRD pattern in this record (Cu Kα).

Principal peaks in the range 5° ≤ 2θ ≤ 70°, sorted by position:
two_theta, Rel. int.
31.44, 49
34.08, 100
36.00, 73
38.06, 38
39.64, 69
40.73, 52
41.45, 24
61.23, 22

Structural model:
```
11
Lattice="4.6262 -5.3792 0.0000 4.6262 5.3792 0.0000 -1.5107 0.0000 4.9575" Properties=species:S:1:pos:R:3 pbc="T T T"
In 0.8752 1.6643 3.4688
In 1.5391 0.0000 0.9774
In 0.8752 -1.6643 3.4688
In 6.8665 1.6643 1.4887
In 6.2026 0.0000 3.9802
In 6.8665 -1.6643 1.4887
Ag 4.6262 2.9516 0.0000
Ag 3.8708 1.4518 2.4788
Ag 4.6262 0.0000 0.0000
Ag 3.8708 -1.4518 2.4788
Ag 4.6262 -2.9516 0.0000
```

---

[3]
For Tb2DyAl9, a GGA-PBE-relaxed structure gives the simulated powder XRD pattern in this record (Cu Kα).

Principal peaks in the range 5° ≤ 2θ ≤ 70°, sorted by position:
two_theta, Rel. int.
20.82, 91
29.61, 78
36.47, 100
42.37, 49
47.66, 43
52.53, 32
61.46, 33
65.64, 21

Structural model:
```
12
Lattice="4.2669 0.0000 0.0000 0.0000 4.2669 0.0000 0.0000 0.0000 12.8008" Properties=species:S:1:pos:R:3 pbc="T T T"
Tb 0.0000 0.0000 2.1378
Tb 0.0000 0.0000 10.6630
Dy 0.0000 0.0000 6.4004
Al 0.0000 2.1335 0.0000
Al 0.0000 2.1335 4.2749
Al 0.0000 2.1335 8.5259
Al 2.1335 0.0000 0.0000
Al 2.1335 0.0000 4.2749
Al 2.1335 0.0000 8.5259
Al 2.1335 2.1335 2.1343
Al 2.1335 2.1335 6.4004
Al 2.1335 2.1335 10.6665
```